The following is a calculated XRD peak list of Li4TiCo3O8. It was derived from DFT lattice parameters and positions (PBE+U), using Cu Kα X-rays.

The 10 most intense peaks (5 to 70 degrees two-theta), sorted by position:
- 2θ = 20.98°, I = 72, hkl 0 1 1
- 2θ = 21.11°, I = 66, hkl 0 1 -1
- 2θ = 22.15°, I = 88, hkl 1 0 1
- 2θ = 22.31°, I = 73, hkl 1 0 -1
- 2θ = 31.93°, I = 36, hkl 0 1 2
- 2θ = 32.10°, I = 100, hkl 0 1 -2
- 2θ = 35.27°, I = 81, hkl 2 0 0
- 2θ = 36.71°, I = 58, hkl -1 1 2
- 2θ = 36.83°, I = 40, hkl 1 1 -2
- 2θ = 57.01°, I = 56, hkl 0 3 2

Structure:
```
Li4TiCo3O8
1.0
5.089 0.000 0.000
0.032 5.576 0.000
0.047 0.038 6.462
Li Ti Co O
4 1 3 8
direct
0.000 0.000 0.000
0.002 0.495 0.749
0.500 0.155 0.246
0.502 0.665 0.499
0.500 0.659 0.001
0.009 0.489 0.267
0.499 0.160 0.744
0.983 0.006 0.507
0.103 0.173 0.256
0.104 0.674 0.486
0.114 0.153 0.734
0.135 0.650 0.015
0.604 0.502 0.767
0.604 0.971 0.992
0.625 0.998 0.495
0.628 0.503 0.234
```